Starting from a PBE-relaxed structure, the XRD peak list of Li5TiPd6 was computed for λ = 1.5418 Å (Cu Kα).

Crystal structure
abc: 4.3148 12.7448 6.0057
angles: 90.00 90.00 90.00
Space group Cmmm (No. 65)
Symmetry-distinct sites (fractional):
Li: 0.0000 0.0000 0.0000 (multiplicity 2)
Li: 0.0000 0.3311 0.5000 (multiplicity 4)
Li: 0.0000 0.3331 0.0000 (multiplicity 4)
Ti: 0.0000 0.0000 0.5000 (multiplicity 2)
Pd: 0.0000 0.1652 0.2502 (multiplicity 8)
Pd: 0.0000 0.5000 0.2491 (multiplicity 4)

Main lines, sorted by position (10° ≤ 2θ ≤ 80°):
Position (°2θ), I_rel, (hkl)
29.51, 86.8, 1 3 0
29.75, 42.5, 0 0 2
41.87, 25.9, 2 0 0
42.40, 100.0, 1 3 2
42.56, 24.7, 0 6 0
52.21, 17.3, 2 0 2
52.79, 16.7, 0 6 2
61.24, 16.4, 2 6 0
69.93, 21.2, 1 3 4
76.84, 16.5, 3 3 2